Structure and theoretical powder XRD pattern of BaNa2In2Ge2 (DFT lattice parameters and positions (GGA-PBE); Cu Kα, 1.54184 Å).
Intensities are scaled so that the largest is 100.

Top 10 peaks for 10° ≤ 2θ ≤ 80°, sorted by position:
2θ/deg, d (Å), intensity
22.21, 4.003, 21
24.87, 3.579, 50
26.71, 3.338, 19
31.12, 2.874, 100
37.25, 2.414, 94
39.00, 2.309, 17
41.87, 2.157, 18
47.89, 1.900, 18
49.30, 1.849, 27
63.38, 1.468, 25

Structural model:
```
data_BaNa2In2Ge2
_chemical_formula_sum 'Ba3 Na6 In6 Ge6'
_cell_length_a 4.8279
_cell_length_b 4.8279
_cell_length_c 27.7054
_cell_angle_alpha 90.00
_cell_angle_beta 90.00
_cell_angle_gamma 120.00
_symmetry_space_group_name_H-M 'R -3 m'
_symmetry_Int_Tables_number 166
_symmetry_space_group_name_Hall '-R 3 2"'
loop_
_atom_site_label
_atom_site_type_symbol
_atom_site_fract_x
_atom_site_fract_y
_atom_site_fract_z
_atom_site_occupancy
Ba1 Ba 0.0000 0.0000 0.0000 1
Na1 Na 0.0000 0.0000 0.1470 1
In1 In 0.0000 0.0000 0.4385 1
Ge1 Ge 0.0000 0.0000 0.2599 1
```

---

Structure and theoretical powder XRD pattern of Ba3In6Sn2Ge (DFT lattice parameters and positions (GGA-PBE); Cu Kα, 1.54184 Å).
Intensities are scaled so that the largest is 100.

Top 10 peaks for 10° ≤ 2θ ≤ 80°, sorted by position:
2θ/deg, d (Å), intensity
25.25, 3.528, 43
27.95, 3.192, 54
30.72, 2.910, 86
34.84, 2.575, 100
40.89, 2.207, 30
48.30, 1.884, 21
48.61, 1.873, 21
51.84, 1.764, 36
56.73, 1.623, 23
59.91, 1.544, 31

Structural model:
```
data_Ba3In6Sn2Ge
_chemical_formula_sum 'Ba3 In6 Sn2 Ge1'
_cell_length_a 7.0552
_cell_length_b 7.0552
_cell_length_c 9.5769
_cell_angle_alpha 90.00
_cell_angle_beta 90.00
_cell_angle_gamma 120.00
_symmetry_space_group_name_H-M 'P -3 m 1'
_symmetry_Int_Tables_number 164
_symmetry_space_group_name_Hall '-P 3 2"'
loop_
_atom_site_label
_atom_site_type_symbol
_atom_site_fract_x
_atom_site_fract_y
_atom_site_fract_z
_atom_site_occupancy
Ba1 Ba 0.0000 0.0000 0.0000 1
Ba2 Ba 0.3333 0.6667 0.6852 1
In1 In 0.1879 0.3757 0.3251 1
Sn1 Sn 0.3333 0.6667 0.0508 1
Ge1 Ge 0.0000 0.0000 0.5000 1
```

---

Structure and theoretical powder XRD pattern of BaGeIr3 (DFT lattice parameters and positions (GGA-PBE); Cu Kα, 1.54184 Å).
Intensities are scaled so that the largest is 100.

Top 9 peaks for 10° ≤ 2θ ≤ 80°, sorted by position:
2θ/deg, d (Å), intensity
18.67, 4.752, 13
32.64, 2.743, 100
37.87, 2.376, 78
42.54, 2.125, 7
54.63, 1.680, 54
58.25, 1.584, 3
65.11, 1.433, 42
68.39, 1.372, 19
71.60, 1.318, 1

Structural model:
```
data_BaGeIr3
_chemical_formula_sum 'Ba1 Ge1 Ir3'
_cell_length_a 4.752
_cell_length_b 4.752
_cell_length_c 4.752
_cell_angle_alpha 90.00
_cell_angle_beta 90.00
_cell_angle_gamma 90.00
_symmetry_space_group_name_H-M 'P m -3 m'
_symmetry_Int_Tables_number 221
_symmetry_space_group_name_Hall '-P 4 2 3'
loop_
_atom_site_label
_atom_site_type_symbol
_atom_site_fract_x
_atom_site_fract_y
_atom_site_fract_z
_atom_site_occupancy
Ba1 Ba 0.000 0.000 0.000 1
Ge1 Ge 0.500 0.500 0.500 1
Ir1 Ir 0.000 0.500 0.500 1
```

---

Structure and theoretical powder XRD pattern of Ba2MgGe4Ir4 (DFT lattice parameters and positions (GGA-PBE); Cu Kα, 1.54184 Å).
Intensities are scaled so that the largest is 100.

Top 10 peaks for 10° ≤ 2θ ≤ 80°, sorted by position:
2θ/deg, d (Å), intensity
14.62, 6.060, 100
21.13, 4.205, 33
30.96, 2.889, 69
33.31, 2.690, 34
34.62, 2.591, 62
35.44, 2.533, 30
38.37, 2.346, 65
41.47, 2.178, 76
42.84, 2.111, 30
55.30, 1.661, 55

Structural model:
```
data_Ba2MgGe4Ir4
_chemical_formula_sum 'Ba8 Mg4 Ge16 Ir16'
_cell_length_a 11.243
_cell_length_b 7.195
_cell_length_c 11.678
_cell_angle_alpha 90.00
_cell_angle_beta 90.00
_cell_angle_gamma 90.00
_symmetry_space_group_name_H-M 'C m c m'
_symmetry_Int_Tables_number 63
_symmetry_space_group_name_Hall '-C 2c 2'
loop_
_atom_site_label
_atom_site_type_symbol
_atom_site_fract_x
_atom_site_fract_y
_atom_site_fract_z
_atom_site_occupancy
Ba1 Ba 0.205 0.000 0.000 1
Mg1 Mg 0.000 0.016 0.250 1
Ge1 Ge 0.000 0.329 0.078 1
Ge2 Ge 0.186 0.296 0.750 1
Ir1 Ir 0.000 0.326 0.629 1
Ir2 Ir 0.128 0.366 0.250 1
```

---

Structure and theoretical powder XRD pattern of KBaGe4 (DFT lattice parameters and positions (GGA-PBE); Cu Kα, 1.54184 Å).
Intensities are scaled so that the largest is 100.

Top 10 peaks for 10° ≤ 2θ ≤ 80°, sorted by position:
2θ/deg, d (Å), intensity
17.12, 5.180, 30
22.91, 3.882, 38
26.19, 3.403, 48
27.29, 3.268, 100
28.40, 3.143, 58
30.22, 2.957, 43
31.71, 2.821, 45
34.63, 2.590, 70
35.02, 2.562, 35
46.55, 1.951, 30

Structural model:
```
data_KBaGe4
_chemical_formula_sum 'K4 Ba4 Ge16'
_cell_length_a 8.740
_cell_length_b 15.812
_cell_length_c 5.180
_cell_angle_alpha 90.00
_cell_angle_beta 90.00
_cell_angle_gamma 90.00
_symmetry_space_group_name_H-M 'P b a m'
_symmetry_Int_Tables_number 55
_symmetry_space_group_name_Hall '-P 2 2ab'
loop_
_atom_site_label
_atom_site_type_symbol
_atom_site_fract_x
_atom_site_fract_y
_atom_site_fract_z
_atom_site_occupancy
K1 K 0.135 0.087 0.000 1
Ba1 Ba 0.129 0.352 0.000 1
Ge1 Ge 0.009 0.800 0.500 1
Ge2 Ge 0.115 0.949 0.500 1
Ge3 Ge 0.132 0.532 0.500 1
Ge4 Ge 0.210 0.690 0.500 1
```

---

Structure and theoretical powder XRD pattern of K2BaGeS4 (DFT lattice parameters and positions (GGA-PBE); Cu Kα, 1.54184 Å).
Intensities are scaled so that the largest is 100.

Top 10 peaks for 10° ≤ 2θ ≤ 80°, sorted by position:
2θ/deg, d (Å), intensity
15.59, 5.685, 64
22.11, 4.020, 57
27.35, 3.261, 35
27.88, 3.200, 100
31.47, 2.843, 45
32.09, 2.789, 20
42.54, 2.125, 79
50.78, 1.798, 23
52.46, 1.744, 20
63.73, 1.460, 18

Structural model:
```
data_K2BaGeS4
_chemical_formula_sum 'K4 Ba2 Ge2 S8'
_cell_length_a 8.040
_cell_length_b 8.040
_cell_length_c 7.745
_cell_angle_alpha 90.00
_cell_angle_beta 90.00
_cell_angle_gamma 90.00
_symmetry_space_group_name_H-M 'I -4 2 m'
_symmetry_Int_Tables_number 121
_symmetry_space_group_name_Hall 'I -4 2'
loop_
_atom_site_label
_atom_site_type_symbol
_atom_site_fract_x
_atom_site_fract_y
_atom_site_fract_z
_atom_site_occupancy
K1 K 0.000 0.500 0.250 1
Ba1 Ba 0.000 0.000 0.000 1
Ge1 Ge 0.000 0.000 0.500 1
S1 S 0.162 0.162 0.667 1
```

---

Structure and theoretical powder XRD pattern of K2BaGeSe4 (DFT lattice parameters and positions (GGA-PBE); Cu Kα, 1.54184 Å).
Intensities are scaled so that the largest is 100.

Top 10 peaks for 10° ≤ 2θ ≤ 80°, sorted by position:
2θ/deg, d (Å), intensity
11.06, 7.999, 56
13.55, 6.535, 36
21.26, 4.178, 83
23.99, 3.709, 62
27.29, 3.267, 100
28.77, 3.103, 47
30.93, 2.891, 48
34.26, 2.617, 78
36.03, 2.493, 56
40.09, 2.249, 52

Structural model:
```
data_K2BaGeSe4
_chemical_formula_sum 'K8 Ba4 Ge4 Se16'
_cell_length_a 8.369
_cell_length_b 10.461
_cell_length_c 12.413
_cell_angle_alpha 90.00
_cell_angle_beta 90.00
_cell_angle_gamma 90.00
_symmetry_space_group_name_H-M 'I 21 21 21'
_symmetry_Int_Tables_number 24
_symmetry_space_group_name_Hall 'I 2b 2c'
loop_
_atom_site_label
_atom_site_type_symbol
_atom_site_fract_x
_atom_site_fract_y
_atom_site_fract_z
_atom_site_occupancy
K1 K 0.154 0.000 0.250 1
K2 K 0.250 0.266 0.000 1
Ba1 Ba 0.250 0.277 0.500 1
Ge1 Ge 0.139 0.500 0.750 1
Se1 Se 0.020 0.010 0.584 1
Se2 Se 0.181 0.322 0.248 1
```

---

Structure and theoretical powder XRD pattern of BaLa2Ge6 (DFT lattice parameters and positions (GGA-PBE); Cu Kα, 1.54184 Å).
Intensities are scaled so that the largest is 100.

Top 10 peaks for 10° ≤ 2θ ≤ 80°, sorted by position:
2θ/deg, d (Å), intensity
11.78, 7.514, 19
23.33, 3.813, 31
26.91, 3.314, 58
29.06, 3.073, 100
35.53, 2.527, 22
35.85, 2.505, 51
36.80, 2.442, 46
42.08, 2.147, 31
43.38, 2.086, 21
56.45, 1.630, 27

Structural model:
```
data_BaLa2Ge6
_chemical_formula_sum 'Ba2 La4 Ge12'
_cell_length_a 13.226
_cell_length_b 9.395
_cell_length_c 4.295
_cell_angle_alpha 90.00
_cell_angle_beta 108.86
_cell_angle_gamma 90.00
_symmetry_space_group_name_H-M 'C 1 m 1'
_symmetry_Int_Tables_number 8
_symmetry_space_group_name_Hall 'C -2y'
loop_
_atom_site_label
_atom_site_type_symbol
_atom_site_fract_x
_atom_site_fract_y
_atom_site_fract_z
_atom_site_occupancy
Ba1 Ba 0.000 0.000 0.000 1
La1 La 0.152 0.500 0.151 1
La2 La 0.350 0.000 0.851 1
Ge1 Ge 0.001 0.344 0.501 1
Ge2 Ge 0.185 0.234 0.685 1
Ge3 Ge 0.317 0.267 0.318 1
```

---

Structure and theoretical powder XRD pattern of Ba5Li4Ge4 (DFT lattice parameters and positions (GGA-PBE); Cu Kα, 1.54184 Å).
Intensities are scaled so that the largest is 100.

Top 10 peaks for 10° ≤ 2θ ≤ 80°, sorted by position:
2θ/deg, d (Å), intensity
24.02, 3.705, 52
27.90, 3.198, 100
29.92, 2.986, 22
31.33, 2.855, 42
31.58, 2.833, 31
34.46, 2.603, 19
36.15, 2.485, 26
36.70, 2.448, 26
49.18, 1.852, 18
49.70, 1.835, 18

Structural model:
```
data_Ba5Li4Ge4
_chemical_formula_sum 'Ba10 Li8 Ge8'
_cell_length_a 12.669
_cell_length_b 12.669
_cell_length_c 4.897
_cell_angle_alpha 90.00
_cell_angle_beta 90.00
_cell_angle_gamma 90.00
_symmetry_space_group_name_H-M 'I 4/m'
_symmetry_Int_Tables_number 87
_symmetry_space_group_name_Hall '-I 4'
loop_
_atom_site_label
_atom_site_type_symbol
_atom_site_fract_x
_atom_site_fract_y
_atom_site_fract_z
_atom_site_occupancy
Ba1 Ba 0.000 0.000 0.000 1
Ba2 Ba 0.138 0.215 0.500 1
Li1 Li 0.063 0.602 0.500 1
Ge1 Ge 0.043 0.729 0.000 1
```

---

Structure and theoretical powder XRD pattern of Ba2LiGe7 (DFT lattice parameters and positions (GGA-PBE); Cu Kα, 1.54184 Å).
Intensities are scaled so that the largest is 100.

Top 10 peaks for 10° ≤ 2θ ≤ 80°, sorted by position:
2θ/deg, d (Å), intensity
26.98, 3.304, 33
30.64, 2.918, 100
31.43, 2.846, 100
38.53, 2.337, 74
44.84, 2.021, 35
50.01, 1.824, 50
55.63, 1.652, 25
56.59, 1.626, 18
60.57, 1.529, 28
65.30, 1.429, 24

Structural model:
```
data_Ba2LiGe7
_chemical_formula_sum 'Ba2 Li1 Ge7'
_cell_length_a 4.673
_cell_length_b 4.673
_cell_length_c 11.209
_cell_angle_alpha 90.00
_cell_angle_beta 90.00
_cell_angle_gamma 90.00
_symmetry_space_group_name_H-M 'P -4 m 2'
_symmetry_Int_Tables_number 115
_symmetry_space_group_name_Hall 'P -4 -2'
loop_
_atom_site_label
_atom_site_type_symbol
_atom_site_fract_x
_atom_site_fract_y
_atom_site_fract_z
_atom_site_occupancy
Ba1 Ba 0.000 0.500 0.249 1
Li1 Li 0.500 0.500 0.000 1
Ge1 Ge 0.000 0.000 0.000 1
Ge2 Ge 0.000 0.000 0.500 1
Ge3 Ge 0.000 0.500 0.620 1
Ge4 Ge 0.000 0.500 0.870 1
Ge5 Ge 0.500 0.500 0.500 1
```